(1)
Diffraction record for Pr6Te3P2N. The powder diffractogram is theoretical, not measured: it uses a crystal structure in Alexandria, relaxed with GGA-PBE and Cu Kα.
Lines closer than 0.1° are merged.

Atomic structure:
```
Pr6Te3P2N
1.0
3.6286 -6.2667 0.0000
3.6286 6.2667 0.0000
-2.4180 0.0000 7.3331
Pr Te P N
6 3 2 1
direct
0.0671 0.3784 0.2016 Pr
0.2444 0.2444 0.7909 Pr
0.3784 0.0671 0.2016 Pr
0.6216 0.9329 0.7984 Pr
0.7556 0.7556 0.2091 Pr
0.9329 0.6216 0.7984 Pr
0.1741 0.8259 0.5000 Te
0.5000 0.5000 0.5000 Te
0.8259 0.1741 0.5000 Te
0.3342 0.6658 0.0000 P
0.6658 0.3342 0.0000 P
0.0000 0.0000 0.0000 N
```

Main lines, low angle first (2θ = 15–90°):
two_theta  d_spacing  Rel. int.
24.91  3.575  14
25.89  3.441  13
29.52  3.026  100
32.00  2.797  25
36.77  2.444  11
41.21  2.190  29
43.25  2.092  36
53.28  1.719  12
58.03  1.589  16
60.37  1.533  10

=====

(2)
Diffraction record for Tb2Pm5Nd12. The powder diffractogram is theoretical, not measured: it uses a crystal structure in Alexandria, relaxed with GGA-PBE and Cu Kα.
Lines closer than 0.1° are merged.

Atomic structure:
```
Tb2Pm5Nd12
1.0
9.3846 -3.6095 0.0000
9.3846 3.6095 0.0000
-3.8680 0.0000 9.8561
Tb Pm Nd
2 5 12
direct
0.2223 0.7777 0.0000 Tb
0.7777 0.2223 0.0000 Tb
0.1739 0.1739 0.2083 Pm
0.3144 0.3144 0.8154 Pm
0.5000 0.5000 0.5000 Pm
0.6856 0.6856 0.1846 Pm
0.8261 0.8261 0.7917 Pm
0.0014 0.0014 0.3228 Nd
0.0814 0.5849 0.4764 Nd
0.0927 0.5873 0.1321 Nd
0.4127 0.9073 0.8679 Nd
0.4151 0.9186 0.5236 Nd
0.4744 0.4744 0.7557 Nd
0.5256 0.5256 0.2443 Nd
0.5849 0.0814 0.4764 Nd
0.5873 0.0927 0.1321 Nd
0.9073 0.4127 0.8679 Nd
0.9186 0.4151 0.5236 Nd
0.9986 0.9986 0.6772 Nd
```

Main lines, low angle first (2θ = 15–90°):
two_theta  d_spacing  Rel. int.
27.14  3.285  13
27.37  3.259  33
29.44  3.034  65
30.70  2.912  100
31.31  2.857  32
32.43  2.761  32
38.72  2.325  17
50.57  1.805  16
52.63  1.739  15
60.34  1.534  16